No. 1
Ca2Ge7O16: simulated powder XRD pattern (λ = 1.5418 Å (Cu Kα)), based on a crystal structure in Alexandria, relaxed with GGA-PBE.
No peak broadening, texture or thermal motion is included.

Largest 10 diffraction maxima, by intensity, 2θ from 10° to 90°:
2θ (°)  d (Å)  intensity  (hkl)
31.05  2.880  100  3 1 1
17.23  5.147  38  2 1 0
33.92  2.643  35  3 2 1
21.80  4.077  27  1 1 1
24.43  3.644  24  2 0 1
51.37  1.779  20  3 3 2
10.87  8.138  19  1 1 0
32.07  2.791  18  4 1 0
54.02  1.698  16  6 2 1
36.59  2.456  16  4 0 1

Structural model:
abc: 11.509 11.509 4.712
angles: 90.00 90.00 90.00
Space group P-4b2 (No. 117)
One atom of each set of equivalent atoms:
1 Ca 0.165 0.335 0.000 (multiplicity 4)
2 Ge 0.000 0.500 0.500 (multiplicity 2)
3 Ge 0.066 0.813 0.510 (multiplicity 8)
4 Ge 0.134 0.634 0.000 (multiplicity 4)
5 O 0.000 0.383 0.748 (multiplicity 8)
6 O 0.028 0.720 0.224 (multiplicity 8)
7 O 0.068 0.140 0.662 (multiplicity 8)
8 O 0.170 0.766 0.769 (multiplicity 8)



No. 2
Ca2GeOsO6: simulated powder XRD pattern (λ = 1.5418 Å (Cu Kα)), based on a crystal structure in Alexandria, relaxed with GGA-PBE.
No peak broadening, texture or thermal motion is included.

Largest 10 diffraction maxima, by intensity, 2θ from 10° to 90°:
2θ (°)  d (Å)  intensity  (hkl)
32.79  2.731  100  1 1 1
22.71  3.915  58  1 1 0
32.34  2.768  53  2 0 0
57.96  1.591  40  3 1 1
46.39  1.957  37  2 2 0
16.01  5.537  32  1 0 0
23.33  3.812  29  0 0 1
68.74  1.366  19  2 2 2
58.82  1.570  19  2 0 2
28.43  3.140  17  1 0 1

Structural model:
abc: 5.537 5.537 3.812
angles: 90.00 90.00 90.00
Space group P4mm (No. 99)
One atom of each set of equivalent atoms:
1 Ca 0.000 0.500 0.000 (multiplicity 2)
2 Ge 0.000 0.000 0.542 (multiplicity 1)
3 Os 0.500 0.500 0.548 (multiplicity 1)
4 O 0.000 0.000 0.054 (multiplicity 1)
5 O 0.241 0.241 0.573 (multiplicity 4)
6 O 0.500 0.500 0.049 (multiplicity 1)



No. 3
CaGeP2O8: simulated powder XRD pattern (λ = 1.5418 Å (Cu Kα)), based on a crystal structure in Alexandria, relaxed with GGA-PBE.
No peak broadening, texture or thermal motion is included.

Largest 10 diffraction maxima, by intensity, 2θ from 10° to 90°:
2θ (°)  d (Å)  intensity  (hkl)
23.94  3.718  100  1 1 1
12.44  7.116  92  2 0 0
32.30  2.772  85  3 1 1
38.47  2.340  64  3 1 -3
33.02  2.713  60  5 1 -1
26.27  3.393  53  4 0 -2
22.54  3.945  52  2 0 -2
20.65  4.302  44  1 1 -1
34.97  2.566  35  0 2 0
56.41  1.631  25  1 3 1

Structural model:
abc: 16.008 5.132 7.895
angles: 90.00 117.24 90.00
Space group C2/c (No. 15)
One atom of each set of equivalent atoms:
1 Ca 0.000 0.168 0.250 (multiplicity 4)
2 Ge 0.250 0.250 0.500 (multiplicity 4)
3 P 0.142 0.263 0.753 (multiplicity 8)
4 O 0.045 0.223 0.590 (multiplicity 8)
5 O 0.143 0.471 0.354 (multiplicity 8)
6 O 0.161 0.034 0.899 (multiplicity 8)
7 O 0.225 0.271 0.705 (multiplicity 8)